The following is a simulated PXRD pattern of Mo5Pt3. It was derived from DFT lattice parameters and positions (PBE), using Cu Kα (weighted mean of Kα1 and Kα2).

Structure:
```
Mo5Pt3
1.0
3.9275 -4.0367 0.0000
3.9275 4.0367 0.0000
0.0000 0.0000 3.9240
Mo Pt
5 3
direct
0.0000 0.0000 0.0000
0.0000 0.5000 0.0000
0.2486 0.7514 0.5000
0.5000 0.0000 0.0000
0.7514 0.2486 0.5000
0.2533 0.2533 0.5000
0.5000 0.5000 0.0000
0.7467 0.7467 0.5000
```

Peak list (6 most intense, 10° ≤ 2θ ≤ 80°, by intensity)
Position (°2θ)  I_rel
39.39  100
46.25  31
66.44  21
44.91  17
79.09  13
67.48  10



The following is a simulated PXRD pattern of ScSbO4. It was derived from DFT lattice parameters and positions (PBE), using Cu Kα (weighted mean of Kα1 and Kα2).

Structure:
```
ScSbO4
1.0
5.7710 0.0000 0.0000
0.0000 4.7807 0.0000
-2.1182 0.0000 5.3165
Sc Sb O
2 2 8
direct
0.0000 0.0000 0.0000
0.0000 0.5000 0.5000
0.5000 0.0000 0.5000
0.5000 0.5000 0.0000
0.1691 0.1799 0.3620
0.1691 0.3201 0.8620
0.3548 0.7107 0.6673
0.3548 0.7893 0.1673
0.6452 0.2107 0.8327
0.6452 0.2893 0.3327
0.8309 0.6799 0.1380
0.8309 0.8201 0.6380
```

Peak list (6 most intense, 10° ≤ 2θ ≤ 80°, by intensity)
Position (°2θ)  I_rel
26.43  100
33.49  53
16.54  31
25.05  24
51.20  18
33.72  18



The following is a simulated PXRD pattern of RbNbP2O8. It was derived from DFT lattice parameters and positions (PBE), using Cu Kα (weighted mean of Kα1 and Kα2).

Structure:
```
RbNbP2O8
1.0
5.2989 0.0000 0.0000
0.0000 12.2237 0.0000
-5.2804 0.0000 12.1956
Rb Nb P O
4 4 8 32
direct
0.2017 0.1288 0.4562
0.2017 0.3712 0.9562
0.7983 0.6288 0.0438
0.7983 0.8712 0.5438
0.4230 0.1152 0.1739
0.4230 0.3848 0.6739
0.5770 0.6152 0.3261
0.5770 0.8848 0.8261
0.0913 0.6977 0.8375
0.0913 0.8023 0.3375
0.1136 0.0677 0.8694
0.1136 0.4323 0.3694
0.8864 0.5677 0.6306
0.8864 0.9323 0.1306
0.9087 0.1977 0.6625
0.9087 0.3023 0.1625
0.0609 0.1769 0.7947
0.0609 0.3231 0.2947
0.1005 0.2188 0.1406
0.1005 0.2812 0.6406
0.1333 0.5946 0.9018
0.1333 0.9054 0.4018
0.1697 0.5153 0.6588
0.1697 0.9847 0.1588
0.2518 0.1087 0.9848
0.2518 0.3913 0.4848
0.2885 0.5093 0.3319
0.2885 0.9907 0.8319
0.3615 0.7428 0.3528
0.3615 0.7572 0.8528
0.4456 0.6255 0.1824
0.4456 0.8745 0.6824
0.5544 0.1255 0.3176
0.5544 0.3745 0.8176
0.6385 0.2428 0.1472
0.6385 0.2572 0.6472
0.7115 0.0093 0.1681
0.7115 0.4907 0.6681
0.7482 0.6087 0.5152
0.7482 0.8913 0.0152
0.8303 0.0153 0.8412
0.8303 0.4847 0.3412
0.8667 0.0946 0.5982
0.8667 0.4054 0.0982
0.8995 0.7188 0.3594
0.8995 0.7812 0.8594
0.9391 0.6769 0.7053
0.9391 0.8231 0.2053
```

Peak list (6 most intense, 10° ≤ 2θ ≤ 80°, by intensity)
Position (°2θ)  I_rel
26.63  100
23.05  88
19.66  73
16.23  69
28.59  60
22.20  56



The following is a simulated PXRD pattern of CaPr2In3. It was derived from DFT lattice parameters and positions (PBE), using Cu Kα (weighted mean of Kα1 and Kα2).

Structure:
```
CaPr2In3
1.0
3.8151 0.0000 0.0000
0.0000 3.8151 0.0000
0.0000 0.0000 12.0908
Ca Pr In
1 2 3
direct
0.0000 0.0000 0.0000
0.0000 0.0000 0.3285
0.0000 0.0000 0.6715
0.5000 0.5000 0.1581
0.5000 0.5000 0.5000
0.5000 0.5000 0.8419
```

Peak list (6 most intense, 10° ≤ 2θ ≤ 80°, by intensity)
Position (°2θ)  I_rel
32.31  100
33.21  47
58.77  35
57.05  19
47.68  17
67.63  11